(1)
Diffraction record for RhPbSe2N. The X-ray diffraction stick pattern is calculated, not measured: it uses a structure optimized by DFT (PBE) and Cu Kα (λ = 1.5418 Å).
Neutral-atom scattering factors, no anomalous dispersion.

Crystal structure
a = 5.2955 Å, b = 5.2955 Å, c = 3.6966 Å
α = 90.00°, β = 90.00°, γ = 90.00°
Space group P4/mmm (No. 123)
Symmetry-distinct sites (fractional):
Rh: 0.0000 0.0000 0.0000 [1 per cell]
Pb: 0.5000 0.5000 0.5000 [1 per cell]
Se: 0.0000 0.5000 0.0000 [2 per cell]
N: 0.0000 0.0000 0.5000 [1 per cell]

The 10 most intense peaks (10° ≤ 2θ ≤ 80°), low angle first:
hkl	Position (°2θ)	intensity
1 1 0	23.76	26
1 0 1	29.47	100
2 0 0	33.85	93
1 1 1	34.08	58
2 1 1	45.49	63
2 2 0	48.63	33
3 1 1	60.72	22
2 0 2	61.15	33
3 2 1	68.78	19
2 2 2	71.76	21

(2)
Diffraction record for RuPb4N4. The X-ray diffraction stick pattern is calculated, not measured: it uses a structure optimized by DFT (PBE) and Cu Kα (λ = 1.5418 Å).
Neutral-atom scattering factors, no anomalous dispersion.

Crystal structure
a = 6.1266 Å, b = 6.6786 Å, c = 10.7391 Å
α = 100.94°, β = 99.23°, γ = 113.15°
Space group P-1 (No. 2)
Symmetry-distinct sites (fractional):
Ru: 0.1719 0.3337 0.1447 [2 per cell]
Pb: 0.0633 0.8462 0.2376 [2 per cell]
Pb: 0.2615 0.6784 0.6421 [2 per cell]
Pb: 0.3708 0.1781 0.5700 [2 per cell]
Pb: 0.4555 0.7580 0.0303 [2 per cell]
N: 0.1371 0.7973 0.8408 [2 per cell]
N: 0.2020 0.3494 0.9746 [2 per cell]
N: 0.3175 0.6450 0.2329 [2 per cell]
N: 0.3462 0.1763 0.1940 [2 per cell]

The 10 most intense peaks (10° ≤ 2θ ≤ 80°), low angle first:
hkl	Position (°2θ)	intensity
1 0 2	26.92	100
1 0 -3	27.11	27
1 -2 1	27.43	28
0 2 -1	29.08	21
-2 1 1	29.57	41
0 2 0	30.29	51
1 1 -3	31.06	29
-1 1 3	31.22	45
2 0 -1	31.77	21
1 -2 3	35.18	16

(3)
Diffraction record for Sc4SbPbN. The X-ray diffraction stick pattern is calculated, not measured: it uses a structure optimized by DFT (PBE) and Cu Kα (λ = 1.5418 Å).
Neutral-atom scattering factors, no anomalous dispersion.

Crystal structure
a = 6.2313 Å, b = 15.0282 Å, c = 6.2265 Å
α = 90.00°, β = 90.00°, γ = 90.00°
Space group Cmcm (No. 63)
Symmetry-distinct sites (fractional):
Sc: 0.0000 0.0972 0.2500 [4 per cell]
Sc: 0.0000 0.4005 0.2500 [4 per cell]
Sc: 0.2500 0.2500 0.0000 [8 per cell]
Sb: 0.0000 0.1051 0.7500 [4 per cell]
Pb: 0.0000 0.3991 0.7500 [4 per cell]
N: 0.0000 0.2497 0.2500 [4 per cell]

The 10 most intense peaks (10° ≤ 2θ ≤ 80°), low angle first:
hkl	Position (°2θ)	intensity
1 1 1	21.02	38
1 3 1	26.96	72
2 0 0	28.66	67
2 2 0	31.08	36
0 6 0	35.85	29
2 4 0	37.51	100
2 0 2	40.98	59
2 6 0	46.52	29
2 6 2	55.57	31
4 4 2	72.37	31